Record 1
Simulated X-ray powder pattern of La2Al5Au3 for Cu Kα, 1.54184 Å, from a cell relaxed with PBE.
Lines closer than 0.1° are merged.

Structural model:
Unit cell a=10.7981 b=12.3694 c=6.2772 alpha=90.00 beta=90.00 gamma=90.00
Space group Ibam (No. 72)
Symmetry-distinct sites (fractional):
La 0.2397 0.1294 0.0000 x8
Al 0.0000 0.0000 0.2500 x4
Al 0.0000 0.2599 0.2500 x8
Al 0.1432 0.3863 0.0000 x8
Au 0.0000 0.5000 0.2500 x4
Au 0.1226 0.1296 0.5000 x8

Main lines, low angle first (15 to 90 degrees two-theta):
hkl  Position (°2θ)  I (rel.)
2 1 1  22.9  34
1 3 0  23.1  46
3 1 0  25.8  32
1 1 2  30.5  42
3 2 1  32.1  100
2 0 2  33.0  42
2 4 0  33.4  40
0 4 2  41.0  75
5 2 1  46.8  37
3 2 3  52.7  25
3 6 1  53.2  24
8 4 2  84.1  24

=====

Record 2
Simulated X-ray powder pattern of Tb2Gd2O5 for Cu Kα, 1.54184 Å, from a cell relaxed with PBE.
Lines closer than 0.1° are merged.

Structural model:
Unit cell a=3.9304 b=3.9304 c=9.4482 alpha=90.00 beta=90.00 gamma=90.00
Space group P4/mmm (No. 123)
Symmetry-distinct sites (fractional):
Tb 0.0000 0.0000 0.0000 x1
Tb 0.0000 0.0000 0.5000 x1
Gd 0.5000 0.5000 0.2432 x2
O 0.0000 0.5000 0.1437 x4
O 0.5000 0.5000 0.5000 x1

Main lines, low angle first (15 to 90 degrees two-theta):
hkl  Position (°2θ)  I (rel.)
1 0 2  29.6  100
1 1 0  32.2  36
0 0 4  38.1  12
2 0 0  46.2  20
1 1 4  50.7  29
2 1 2  55.8  34
2 0 4  61.4  12
1 0 6  63.7  11
3 0 2  75.3  7
3 1 0  76.7  6
2 1 6  82.2  11
3 1 4  89.0  12

=====

Record 3
Simulated X-ray powder pattern of TmHfSi4 for Cu Kα, 1.54184 Å, from a cell relaxed with PBE.
Lines closer than 0.1° are merged.

Structural model:
Unit cell a=3.6857 b=3.7438 c=15.3909 alpha=90.00 beta=90.00 gamma=90.00
Space group Amm2 (No. 38)
Symmetry-distinct sites (fractional):
Tm 0.0000 0.0000 0.0000 x2
Hf 0.5000 0.0000 0.2125 x2
Si 0.0000 0.0000 0.3519 x2
Si 0.0000 0.0000 0.6641 x2
Si 0.5000 0.0000 0.5666 x2
Si 0.5000 0.0000 0.8499 x2

Main lines, low angle first (15 to 90 degrees two-theta):
hkl  Position (°2θ)  I (rel.)
0 0 4  23.1  28
0 1 1  24.5  43
1 0 2  26.8  69
0 1 3  29.5  19
1 1 1  34.6  23
0 0 6  35.0  16
0 1 5  37.8  36
1 1 3  38.5  100
1 0 6  43.0  21
0 2 0  48.6  16
1 1 7  54.5  19
1 2 2  56.4  18

=====

Record 4
Simulated X-ray powder pattern of H10OsC2S2Br6N4 for Cu Kα, 1.54184 Å, from a cell relaxed with PBE.
Lines closer than 0.1° are merged.

Structural model:
Unit cell a=7.2853 b=7.5428 c=8.2779 alpha=80.67 beta=87.97 gamma=62.77
Space group P-1 (No. 2)
Symmetry-distinct sites (fractional):
H 0.0206 0.2313 0.1263 x2
H 0.1019 0.1666 0.9324 x2
H 0.2108 0.9963 0.3666 x2
H 0.3477 0.8966 0.8638 x2
H 0.4114 0.7628 0.3384 x2
Os 0.0000 0.5000 0.5000 x1
C 0.2647 0.9497 0.1269 x2
S 0.4320 0.7740 0.0096 x2
Br 0.2062 0.1335 0.6203 x2
Br 0.2261 0.4497 0.2626 x2
Br 0.2313 0.5896 0.6507 x2
N 0.1140 0.1255 0.0570 x2
N 0.2938 0.8988 0.2880 x2

Main lines, low angle first (15 to 90 degrees two-theta):
hkl  Position (°2θ)  I (rel.)
0 1 1  15.8  62
1 1 1  16.8  90
1 0 -1  17.1  86
1 0 1  17.9  57
0 1 -1  18.6  58
1 0 -2  25.3  75
0 2 0  26.9  53
2 2 1  29.3  80
0 2 -1  30.8  100
2 2 2  34.0  59
2 0 -2  34.6  61
1 0 -3  35.2  53